1.
Calculated powder diffraction line list of Li5Cr2Ni3O10 for Cu Kα (λ = 1.5418 Å), from the GGA+U geometry in the Materials Project.

The 10 most intense peaks (2θ = 10–80°), sorted by position:
12.69°, d = 6.977 Å, rel. 100.0; 18.40°, d = 4.821 Å, rel. 35.0; 18.52°, d = 4.791 Å, rel. 92.1; 23.04°, d = 3.860 Å, rel. 23.1; 27.01°, d = 3.301 Å, rel. 36.0; 30.12°, d = 2.967 Å, rel. 21.9; 35.80°, d = 2.508 Å, rel. 29.3; 43.35°, d = 2.087 Å, rel. 71.5; 43.61°, d = 2.075 Å, rel. 67.2; 44.20°, d = 2.049 Å, rel. 65.0

Cell and atoms:
Cell lengths 5.0622, 5.0978, 7.6650 Å; angles 71.49, 71.63, 80.40 degrees
Sites, in units of the cell vectors:
Li 0.0000 0.0000 0.0000
Li 0.4951 0.7116 0.0978
Li 0.4964 0.9048 0.7028
Li 0.5036 0.0952 0.2972
Li 0.5049 0.2884 0.9022
Cr 0.0064 0.3902 0.1958
Cr 0.9936 0.6098 0.8042
Ni 0.0013 0.1986 0.6010
Ni 0.5000 0.5000 0.5000
Ni 0.9987 0.8014 0.3990
O 0.2266 0.6296 0.9503
O 0.2296 0.0690 0.1592
O 0.2312 0.2755 0.7453
O 0.2333 0.4482 0.3454
O 0.2357 0.8367 0.5586
O 0.7643 0.1633 0.4414
O 0.7667 0.5518 0.6546
O 0.7688 0.7245 0.2547
O 0.7704 0.9310 0.8408
O 0.7734 0.3704 0.0497

2.
Calculated powder diffraction line list of Li5Cr3NiO8 for Cu Kα (λ = 1.5418 Å), from the GGA+U geometry in the Materials Project.

The 10 most intense peaks (2θ = 10–80°), sorted by position:
18.07°, d = 4.910 Å, rel. 43.0; 19.38°, d = 4.581 Å, rel. 100.0; 24.99°, d = 3.563 Å, rel. 33.0; 32.36°, d = 2.767 Å, rel. 28.8; 35.08°, d = 2.558 Å, rel. 39.3; 35.93°, d = 2.499 Å, rel. 30.8; 44.50°, d = 2.036 Å, rel. 33.5; 44.68°, d = 2.028 Å, rel. 63.1; 59.08°, d = 1.564 Å, rel. 25.4; 61.93°, d = 1.498 Å, rel. 32.0

Cell and atoms:
Cell lengths 5.9932, 5.9932, 9.8193 Å; angles 90.00, 90.00, 120.41 degrees
Sites, in units of the cell vectors:
Li 0.0053 0.9947 0.5000
Li 0.1874 0.3879 0.5743
Li 0.2012 0.7988 0.5707
Li 0.3284 0.6716 0.7981
Li 0.3879 0.1874 0.0743
Li 0.6121 0.8126 0.5743
Li 0.6716 0.3284 0.2981
Li 0.7988 0.2012 0.0707
Li 0.8126 0.6121 0.0743
Li 0.9947 0.0053 0.0000
Cr 0.1721 0.3322 0.3003
Cr 0.1725 0.8275 0.3001
Cr 0.3322 0.1721 0.8003
Cr 0.6678 0.8279 0.3003
Cr 0.8275 0.1725 0.8001
Cr 0.8279 0.6678 0.8003
Ni 0.3350 0.6650 0.0442
Ni 0.6650 0.3350 0.5442
O 0.0049 0.9951 0.1902
O 0.0202 0.5038 0.1824
O 0.1569 0.8431 0.9191
O 0.1577 0.3277 0.9167
O 0.3277 0.1577 0.4167
O 0.3368 0.6632 0.4152
O 0.4946 0.5054 0.1814
O 0.4962 0.9798 0.1824
O 0.5038 0.0202 0.6824
O 0.5054 0.4946 0.6814
O 0.6632 0.3368 0.9152
O 0.6723 0.8423 0.9167
O 0.8423 0.6723 0.4167
O 0.8431 0.1569 0.4191
O 0.9798 0.4962 0.6824
O 0.9951 0.0049 0.6902